# 1
Starting from a structure optimized by DFT (PBE), the X-ray powder pattern of TiNb2B2Ru5 was calculated for Cu Kα X-rays.

Peak list (6 most intense, 10 to 90 degrees two-theta, in order of rising 2θ)
h k l  Position (°2θ)  d [Å]  I/Imax
2 1 1  36.72  2.447  80
4 1 0  39.64  2.274  99
2 2 1  40.45  2.230  33
3 1 1  42.79  2.114  100
4 2 0  43.16  2.096  38
3 2 1  46.11  1.969  43

Atomic structure:
Cell lengths 9.3743, 9.3743, 3.0141 Å; angles 90.00, 90.00, 90.00 degrees
Space group P4/mbm (No. 127)
Inequivalent atoms, fractional coordinates:
Ti  0.0000  0.0000  0.0000 (multiplicity 2)
Nb  0.1769  0.3231  0.0000 (multiplicity 4)
B  0.1236  0.6236  0.0000 (multiplicity 4)
Ru  0.0000  0.5000  0.5000 (multiplicity 2)
Ru  0.0701  0.7838  0.5000 (multiplicity 8)

---

# 2
Starting from a structure optimized by DFT (PBE), the X-ray powder pattern of NbBS2 was calculated for Cu Kα X-rays.

Peak list (6 most intense, 10 to 90 degrees two-theta, in order of rising 2θ)
h k l  Position (°2θ)  d [Å]  I/Imax
0 0 1  14.10  6.279  46
1 1 0  29.36  3.042  35
1 1 1  32.71  2.738  100
1 1 2  41.32  2.185  34
0 2 1  41.50  2.176  22
0 2 2  48.81  1.866  24

Atomic structure:
Cell lengths 4.0294, 4.6397, 6.2790 Å; angles 90.00, 90.00, 90.00 degrees
Space group C222 (No. 21)
Inequivalent atoms, fractional coordinates:
Nb  0.0000  0.0000  0.0000 (multiplicity 2)
B  0.0000  0.5000  0.5000 (multiplicity 2)
S  0.2500  0.2500  0.6899 (multiplicity 4)

---

Please write out number 1 again, unchanged.
Starting from a structure optimized by DFT (PBE), the X-ray powder pattern of TiNb2B2Ru5 was calculated for Cu Kα X-rays.

Peak list (6 most intense, 10 to 90 degrees two-theta, in order of rising 2θ)
h k l  Position (°2θ)  d [Å]  I/Imax
2 1 1  36.72  2.447  80
4 1 0  39.64  2.274  99
2 2 1  40.45  2.230  33
3 1 1  42.79  2.114  100
4 2 0  43.16  2.096  38
3 2 1  46.11  1.969  43

Atomic structure:
Cell lengths 9.3743, 9.3743, 3.0141 Å; angles 90.00, 90.00, 90.00 degrees
Space group P4/mbm (No. 127)
Inequivalent atoms, fractional coordinates:
Ti  0.0000  0.0000  0.0000 (multiplicity 2)
Nb  0.1769  0.3231  0.0000 (multiplicity 4)
B  0.1236  0.6236  0.0000 (multiplicity 4)
Ru  0.0000  0.5000  0.5000 (multiplicity 2)
Ru  0.0701  0.7838  0.5000 (multiplicity 8)